1.
The following is a computed X-ray powder pattern of Be3Cu4. It was derived from a structure optimized by DFT (PBE), using CuKα.

Main lines, in order of rising 2θ (2θ from 5° to 70°):
2θ (°), d/Å, intensity
8.78, 10.070, 22
17.62, 5.035, 41
35.67, 2.517, 10
36.43, 2.467, 76
40.74, 2.215, 16
45.01, 2.014, 13
46.58, 1.950, 100
48.55, 1.875, 51
52.04, 1.757, 10
68.35, 1.372, 14

Cell and atoms:
```
Be3Cu4
1.0
-1.326 1.326 10.070
1.326 -1.326 10.070
1.326 1.326 -10.070
Be Cu
3 4
Direct
0.000 0.000 0.000
0.279 0.279 0.000
0.721 0.721 0.000
0.155 0.155 0.000
0.433 0.433 0.000
0.567 0.567 0.000
0.845 0.845 0.000
```

=====

2.
The following is a computed X-ray powder pattern of Y2HgO4. It was derived from a structure optimized by DFT (PBE), using CuKα.

Main lines, in order of rising 2θ (2θ from 5° to 70°):
2θ (°), d/Å, intensity
25.93, 3.436, 58
30.51, 2.930, 100
31.90, 2.805, 8
40.46, 2.229, 4
45.74, 1.984, 25
48.69, 1.870, 40
53.33, 1.718, 37
60.23, 1.536, 11
62.70, 1.482, 13
63.50, 1.465, 4

Cell and atoms:
```
Y2HgO4
1.0
0.000 4.859 4.859
4.859 0.000 4.859
4.859 4.859 0.000
Y Hg O
4 2 8
Direct
0.000 0.000 0.000
0.000 0.000 0.500
0.000 0.500 0.000
0.500 0.000 0.000
0.375 0.375 0.375
0.625 0.625 0.625
0.205 0.765 0.765
0.235 0.235 0.235
0.235 0.235 0.795
0.235 0.795 0.235
0.765 0.205 0.765
0.765 0.765 0.205
0.765 0.765 0.765
0.795 0.235 0.235
```

=====

3.
The following is a computed X-ray powder pattern of LaInGe2Rh5. It was derived from a structure optimized by DFT (PBE), using CuKα.

Main lines, in order of rising 2θ (2θ from 5° to 70°):
2θ (°), d/Å, intensity
24.31, 3.661, 59
27.29, 3.268, 67
32.18, 2.782, 74
35.23, 2.547, 70
39.87, 2.261, 42
44.56, 2.033, 92
45.69, 1.986, 100
51.41, 1.777, 30
64.85, 1.438, 29
69.04, 1.360, 29

Cell and atoms:
```
LaInGe2Rh5
1.0
4.066 0.000 0.000
0.000 4.066 0.000
0.000 0.000 10.983
La In Ge Rh
1 1 2 5
Direct
0.000 0.000 0.000
0.000 0.000 0.500
0.500 0.500 0.219
0.500 0.500 0.781
0.000 0.500 0.337
0.000 0.500 0.663
0.500 0.000 0.337
0.500 0.000 0.663
0.500 0.500 0.000
```

=====

4.
The following is a computed X-ray powder pattern of TbYTm3Th. It was derived from a structure optimized by DFT (PBE), using CuKα.

Main lines, in order of rising 2θ (2θ from 5° to 70°):
2θ (°), d/Å, intensity
17.25, 5.139, 3
30.90, 2.894, 57
32.45, 2.759, 100
44.26, 2.046, 21
48.74, 1.868, 8
55.94, 1.644, 43
58.83, 1.570, 18
64.33, 1.448, 4
64.45, 1.446, 4
67.94, 1.380, 12

Cell and atoms:
```
TbYTm3Th
1.0
2.891 -5.605 0.000
2.891 5.605 0.000
0.000 0.000 11.585
Tb Y Tm Th
2 2 6 2
Direct
0.000 0.000 0.000
0.000 0.000 0.500
0.178 0.822 0.750
0.822 0.178 0.250
0.173 0.827 0.250
0.332 0.668 0.002
0.332 0.668 0.498
0.668 0.332 0.502
0.668 0.332 0.998
0.827 0.173 0.750
0.500 0.500 0.250
0.500 0.500 0.750
```

=====

5.
The following is a computed X-ray powder pattern of CaNbGeTeP. It was derived from a structure optimized by DFT (PBE), using CuKα.

Main lines, in order of rising 2θ (2θ from 5° to 70°):
2θ (°), d/Å, intensity
11.44, 7.733, 65
24.31, 3.662, 30
29.41, 3.037, 61
34.80, 2.578, 32
35.72, 2.514, 100
37.67, 2.388, 41
41.21, 2.191, 75
48.30, 1.884, 21
48.55, 1.875, 21
59.09, 1.563, 25

Cell and atoms:
```
CaNbGeTeP
1.0
-1.875 1.884 7.733
1.875 -1.884 7.733
1.875 1.884 -7.733
Ca Nb Ge Te P
1 1 1 1 1
Direct
0.000 0.000 0.000
0.787 0.287 0.500
0.300 0.800 0.500
0.638 0.638 0.000
0.416 0.416 0.000
```

=====

6.
The following is a computed X-ray powder pattern of Li2LaY. It was derived from a structure optimized by DFT (PBE), using CuKα.

Main lines, in order of rising 2θ (2θ from 5° to 70°):
2θ (°), d/Å, intensity
13.80, 6.415, 73
22.24, 3.998, 97
26.80, 3.327, 20
32.10, 2.788, 100
32.97, 2.717, 55
33.40, 2.683, 55
35.11, 2.556, 26
47.64, 1.909, 20
49.24, 1.851, 36
59.96, 1.543, 19

Cell and atoms:
```
Li2LaY
1.0
3.445 0.000 0.000
0.000 5.112 0.000
-1.714 0.000 6.415
Li La Y
2 1 1
Direct
0.000 0.000 0.000
0.126 0.500 0.255
0.387 0.500 0.774
0.733 0.000 0.468
```